(1)
For CdHgO2, the PBE geometry in the Materials Project gives the simulated powder diffraction line list in this record (Cu Ka).
Intensities are scaled so that the largest is 100.

Largest 10 diffraction maxima, sorted by position, 10° ≤ 2θ ≤ 90°:
2θ/deg	I (rel.)	h k l
28.37	49	0 0 2
29.22	20	2 0 -1
30.28	50	2 0 0
30.41	100	1 1 -1
34.58	55	1 1 1
34.75	27	2 0 -2
48.60	29	1 1 -3
51.07	40	0 2 0
57.04	19	1 1 3
60.58	21	4 0 -2

Structural model:
```
data_CdHgO2
_chemical_formula_sum 'Cd2 Hg2 O4'
_cell_length_a 6.200
_cell_length_b 3.574
_cell_length_c 6.608
_cell_angle_alpha 90.00
_cell_angle_beta 107.78
_cell_angle_gamma 90.00
_symmetry_space_group_name_H-M 'C 1 2/m 1'
_symmetry_Int_Tables_number 12
loop_
_symmetry_equiv_pos_as_xyz
'x,y,z'
'-x,-y,-z'
'-x,y,-z'
'x,-y,z'
'x+1/2,y+1/2,z'
'-x+1/2,-y+1/2,-z'
'-x+1/2,y+1/2,-z'
'x+1/2,-y+1/2,z'
loop_
_atom_site_label
_atom_site_fract_x
_atom_site_fract_y
_atom_site_fract_z
Cd1 0.000 0.000 0.000
Hg1 0.000 0.500 0.500
O1 0.108 0.500 0.820
```



(2)
For CdHg2SO6, the PBE geometry in the Materials Project gives the simulated powder diffraction line list in this record (Cu Ka).
Intensities are scaled so that the largest is 100.

Largest 10 diffraction maxima, sorted by position, 10° ≤ 2θ ≤ 90°:
2θ/deg	I (rel.)	h k l
13.54	26	0 1 0
20.00	29	0 1 -1
25.83	100	0 0 2
28.51	91	0 2 1
29.19	49	2 0 1
31.92	55	0 2 -1
32.23	34	2 2 2
32.46	50	2 2 0
33.48	24	2 0 2
36.78	28	2 0 -1

Structural model:
```
data_CdHg2SO6
_chemical_formula_sum 'Cd2 Hg4 S2 O12'
_cell_length_a 6.885
_cell_length_b 7.375
_cell_length_c 7.576
_cell_angle_alpha 73.03
_cell_angle_beta 66.89
_cell_angle_gamma 63.58
_symmetry_space_group_name_H-M 'P -1'
_symmetry_Int_Tables_number 2
loop_
_symmetry_equiv_pos_as_xyz
'x,y,z'
'-x,-y,-z'
loop_
_atom_site_label
_atom_site_fract_x
_atom_site_fract_y
_atom_site_fract_z
Cd1 0.169 0.370 0.276
Hg1 0.159 0.864 0.282
Hg2 0.343 0.140 0.717
S1 0.292 0.636 0.805
O1 0.049 0.302 0.636
O2 0.159 0.675 0.673
O3 0.190 0.809 0.915
O4 0.296 0.439 0.938
O5 0.351 0.031 0.233
O6 0.469 0.389 0.322
```



(3)
For CdHg2SeO6, the PBE geometry in the Materials Project gives the simulated powder diffraction line list in this record (Cu Ka).
Intensities are scaled so that the largest is 100.

Largest 10 diffraction maxima, sorted by position, 10° ≤ 2θ ≤ 90°:
2θ/deg	I (rel.)	h k l
25.09	100	0 0 2
28.40	93	0 2 1
28.51	56	2 0 1
29.44	36	2 0 0
31.47	56	0 2 -1
31.81	57	2 2 0
32.26	36	2 2 2
35.38	28	2 0 -1
44.16	28	0 2 3
48.27	28	2 2 -2

Structural model:
```
data_CdHg2SeO6
_chemical_formula_sum 'Cd2 Hg4 Se2 O12'
_cell_length_a 7.023
_cell_length_b 7.355
_cell_length_c 7.695
_cell_angle_alpha 74.43
_cell_angle_beta 68.55
_cell_angle_gamma 64.29
_symmetry_space_group_name_H-M 'P -1'
_symmetry_Int_Tables_number 2
loop_
_symmetry_equiv_pos_as_xyz
'x,y,z'
'-x,-y,-z'
loop_
_atom_site_label
_atom_site_fract_x
_atom_site_fract_y
_atom_site_fract_z
Cd1 0.166 0.363 0.288
Hg1 0.158 0.859 0.292
Hg2 0.344 0.144 0.709
Se1 0.297 0.634 0.813
O1 0.050 0.303 0.638
O2 0.136 0.706 0.670
O3 0.222 0.826 0.930
O4 0.279 0.421 0.955
O5 0.347 0.023 0.257
O6 0.442 0.421 0.331
```



(4)
For CdHg2SeO6, the PBE geometry in the Materials Project gives the simulated powder diffraction line list in this record (Cu Ka).
Intensities are scaled so that the largest is 100.

Largest 10 diffraction maxima, sorted by position, 10° ≤ 2θ ≤ 90°:
2θ/deg	I (rel.)	h k l
21.50	24	0 1 1
25.22	100	0 0 2
26.98	75	0 2 -1
28.43	27	2 0 -1
30.09	43	2 0 -2
30.41	68	-2 2 1
31.53	35	0 2 -2
32.23	42	2 0 0
34.32	48	0 2 1
35.59	40	2 -2 1

Structural model:
```
data_CdHg2SeO6
_chemical_formula_sum 'Cd2 Hg4 Se2 O12'
_cell_length_a 6.936
_cell_length_b 7.352
_cell_length_c 8.054
_cell_angle_alpha 95.56
_cell_angle_beta 112.79
_cell_angle_gamma 114.64
_symmetry_space_group_name_H-M 'P -1'
_symmetry_Int_Tables_number 2
loop_
_symmetry_equiv_pos_as_xyz
'x,y,z'
'-x,-y,-z'
loop_
_atom_site_label
_atom_site_fract_x
_atom_site_fract_y
_atom_site_fract_z
Cd1 0.051 0.403 0.216
Hg1 0.008 0.894 0.211
Hg2 0.485 0.096 0.797
Se1 0.405 0.569 0.698
O1 0.132 0.921 0.740
O2 0.153 0.724 0.132
O3 0.275 0.650 0.520
O4 0.293 0.266 0.182
O5 0.302 0.581 0.855
O6 0.352 0.329 0.615
```



(5)
For CdHgPd2, the PBE geometry in the Materials Project gives the simulated powder diffraction line list in this record (Cu Ka).
Intensities are scaled so that the largest is 100.

Largest 10 diffraction maxima, sorted by position, 10° ≤ 2θ ≤ 90°:
2θ/deg	I (rel.)	h k l
23.35	6	1 1 1
27.03	4	2 0 0
38.60	100	2 2 0
45.61	3	3 1 1
55.73	17	4 0 0
61.24	2	3 3 1
63.01	2	4 2 0
69.85	34	4 2 2
82.76	11	4 4 0
87.47	1	5 3 1

Structural model:
```
data_CdHgPd2
_chemical_formula_sum 'Cd4 Hg4 Pd8'
_cell_length_a 6.597
_cell_length_b 6.597
_cell_length_c 6.597
_cell_angle_alpha 90.00
_cell_angle_beta 90.00
_cell_angle_gamma 90.00
_symmetry_space_group_name_H-M 'F m -3 m'
_symmetry_Int_Tables_number 225
_symmetry_space_group_name_Hall '-F 4 2 3'
loop_
_atom_site_label
_atom_site_fract_x
_atom_site_fract_y
_atom_site_fract_z
Cd1 0.000 0.000 0.000
Hg1 0.000 0.000 0.500
Pd1 0.250 0.250 0.250
```



(6)
For Pr2CdHg, the PBE geometry in the Materials Project gives the simulated powder diffraction line list in this record (Cu Ka).
Intensities are scaled so that the largest is 100.

Largest 10 diffraction maxima, sorted by position, 10° ≤ 2θ ≤ 90°:
2θ/deg	I (rel.)	h k l
19.82	4	1 1 1
32.64	100	2 2 0
38.48	3	3 1 1
46.83	18	4 0 0
51.33	1	3 3 1
58.25	38	4 2 2
68.39	12	4 4 0
72.00	1	5 3 1
77.86	16	6 2 0
87.00	4	4 4 4

Structural model:
```
data_Pr2CdHg
_chemical_formula_sum 'Pr8 Cd4 Hg4'
_cell_length_a 7.759
_cell_length_b 7.759
_cell_length_c 7.759
_cell_angle_alpha 90.00
_cell_angle_beta 90.00
_cell_angle_gamma 90.00
_symmetry_space_group_name_H-M 'F m -3 m'
_symmetry_Int_Tables_number 225
_symmetry_space_group_name_Hall '-F 4 2 3'
loop_
_atom_site_label
_atom_site_fract_x
_atom_site_fract_y
_atom_site_fract_z
Pr1 0.250 0.250 0.250
Cd1 0.000 0.000 0.000
Hg1 0.000 0.000 0.500
```